# 1
Computed XRD peak list
Compound: MgAgAs
Radiation: CuKα
Structure: DFT lattice parameters and positions (GGA-PBE)
Lines closer than 0.1° are merged.

Crystal structure
```
data_MgAgAs
_chemical_formula_sum 'Mg2 Ag2 As2'
_cell_length_a 4.421
_cell_length_b 6.559
_cell_length_c 4.418
_cell_angle_alpha 90.00
_cell_angle_beta 90.00
_cell_angle_gamma 90.00
_symmetry_space_group_name_H-M 'P 1'
_symmetry_Int_Tables_number 1
_symmetry_space_group_name_Hall 'P 1'
loop_
_atom_site_label
_atom_site_fract_x
_atom_site_fract_y
_atom_site_fract_z
Mg1 0.000 0.250 0.000
Mg2 0.000 0.750 0.000
Ag1 0.500 0.250 0.502
Ag2 0.500 0.750 0.502
As1 0.000 0.000 0.499
As2 0.500 0.500 0.002
```

Main lines, in order of rising 2θ (2θ from 15° to 90°):
| d/Å | Position (°2θ) | I_rel |
| --- | --- | --- |
| 4.419 | 20.09 | 47.0 |
| 3.665 | 24.29 | 48.4 |
| 2.634 | 34.04 | 25.2 |
| 2.262 | 39.85 | 100.0 |
| 2.210 | 40.84 | 46.6 |
| 1.892 | 48.08 | 14.9 |
| 1.693 | 54.19 | 12.6 |
| 1.562 | 59.13 | 15.0 |
| 1.317 | 71.67 | 16.6 |
| 1.286 | 73.69 | 30.6 |

=====

# 2
Computed XRD peak list
Compound: Zr6ZnGa
Radiation: CuKα
Structure: DFT lattice parameters and positions (GGA-PBE)
Lines closer than 0.1° are merged.

Crystal structure
```
data_Zr6ZnGa
_chemical_formula_sum 'Zr6 Zn1 Ga1'
_cell_length_a 7.759
_cell_length_b 7.437
_cell_length_c 5.036
_cell_angle_alpha 74.14
_cell_angle_beta 67.22
_cell_angle_gamma 38.63
_symmetry_space_group_name_H-M 'P 1'
_symmetry_Int_Tables_number 1
_symmetry_space_group_name_Hall 'P 1'
loop_
_atom_site_label
_atom_site_fract_x
_atom_site_fract_y
_atom_site_fract_z
Zr1 0.116 0.116 0.384
Zr2 0.248 0.248 0.752
Zr3 0.384 0.384 0.116
Zr4 0.616 0.616 0.884
Zr5 0.752 0.752 0.248
Zr6 0.884 0.884 0.616
Zn1 0.500 0.500 0.500
Ga1 0.000 0.000 0.000
```

Main lines, in order of rising 2θ (2θ from 15° to 90°):
| d/Å | Position (°2θ) | I_rel |
| --- | --- | --- |
| 2.541 | 35.32 | 100.0 |
| 2.471 | 36.36 | 94.7 |
| 2.316 | 38.89 | 76.2 |
| 1.945 | 46.71 | 22.9 |
| 1.678 | 54.68 | 12.6 |
| 1.599 | 57.63 | 12.0 |
| 1.489 | 62.35 | 36.4 |
| 1.388 | 67.46 | 26.2 |
| 1.354 | 69.43 | 26.0 |
| 1.271 | 74.71 | 10.9 |

=====

# 3
Computed XRD peak list
Compound: AlCu4Pt
Radiation: CuKα
Structure: DFT lattice parameters and positions (GGA-PBE)
Lines closer than 0.1° are merged.

Crystal structure
```
data_AlCu4Pt
_chemical_formula_sum 'Al1 Cu4 Pt1'
_cell_length_a 4.801
_cell_length_b 4.801
_cell_length_c 4.801
_cell_angle_alpha 60.00
_cell_angle_beta 60.00
_cell_angle_gamma 60.00
_symmetry_space_group_name_H-M 'P 1'
_symmetry_Int_Tables_number 1
_symmetry_space_group_name_Hall 'P 1'
loop_
_atom_site_label
_atom_site_fract_x
_atom_site_fract_y
_atom_site_fract_z
Al1 0.000 0.000 0.000
Cu1 0.375 0.375 0.375
Cu2 0.375 0.375 0.875
Cu3 0.375 0.875 0.375
Cu4 0.875 0.375 0.375
Pt1 0.750 0.750 0.750
```

Main lines, in order of rising 2θ (2θ from 15° to 90°):
| d/Å | Position (°2θ) | I_rel |
| --- | --- | --- |
| 3.920 | 22.68 | 26.0 |
| 3.395 | 26.25 | 27.2 |
| 2.401 | 37.46 | 38.5 |
| 2.047 | 44.24 | 100.0 |
| 1.960 | 46.32 | 30.1 |
| 1.558 | 59.32 | 6.2 |
| 1.518 | 61.03 | 10.8 |
| 1.386 | 67.59 | 13.9 |
| 1.307 | 72.31 | 29.9 |
| 1.200 | 79.92 | 20.3 |